Computed XRD peak list of SmTcB14 for CuKα, from a PBE-relaxed structure.
Lines closer than 0.1° are merged.

Structural model:
a b c (Å): 7.432 7.432 7.432
angles (deg): 133.32 86.16 112.39
Element x y z (fractional)
1 Sm 0.376 0.126 0.250
2 Sm 0.624 0.874 0.750
3 Tc 0.000 0.000 0.500
4 Tc 0.000 0.500 0.000
5 B 0.011 0.132 0.879
6 B 0.029 0.205 0.332
7 B 0.029 0.697 0.824
8 B 0.086 0.669 0.417
9 B 0.202 0.535 0.667
10 B 0.223 0.499 0.401
11 B 0.223 0.822 0.724
12 B 0.247 0.868 0.379
13 B 0.248 0.331 0.917
14 B 0.368 0.535 0.833
15 B 0.373 0.205 0.676
16 B 0.373 0.697 0.168
17 B 0.401 0.178 0.901
18 B 0.401 0.501 0.224
19 B 0.599 0.499 0.776
20 B 0.599 0.822 0.099
21 B 0.627 0.303 0.832
22 B 0.627 0.795 0.324
23 B 0.632 0.465 0.167
24 B 0.752 0.669 0.083
25 B 0.753 0.132 0.621
26 B 0.777 0.178 0.276
27 B 0.777 0.501 0.599
28 B 0.798 0.465 0.333
29 B 0.914 0.331 0.583
30 B 0.971 0.303 0.176
31 B 0.971 0.795 0.668
32 B 0.989 0.868 0.121

Most intense lines, 2θ = 10–90°, sorted by position:
two_theta  Rel. int.
16.33  100.0
24.77  44.9
27.61  51.0
33.34  68.1
33.54  34.0
36.35  37.0
39.74  26.3
41.00  53.6
41.16  41.1
57.01  22.5



Computed XRD peak list of Zn5Ni6H for CuKα, from a PBE-relaxed structure.
Lines closer than 0.1° are merged.

Structural model:
a b c (Å): 3.671 5.608 7.051
angles (deg): 102.60 105.05 90.07
Element x y z (fractional)
1 Zn 0.000 0.000 0.000
2 Zn 0.281 0.348 0.564
3 Zn 0.361 0.831 0.722
4 Zn 0.639 0.169 0.278
5 Zn 0.719 0.652 0.436
6 Ni 0.106 0.441 0.209
7 Ni 0.178 0.911 0.355
8 Ni 0.460 0.281 0.917
9 Ni 0.540 0.719 0.083
10 Ni 0.822 0.089 0.645
11 Ni 0.894 0.559 0.791
12 H 0.000 0.500 0.000

Most intense lines, 2θ = 10–90°, sorted by position:
two_theta  Rel. int.
42.25  97.8
43.05  100.0
47.74  34.8
49.68  32.6
51.51  25.2
71.36  19.2
73.97  8.6
74.42  7.8
84.58  9.6
86.20  11.3



Computed XRD peak list of AlAg for CuKα, from a PBE-relaxed structure.
Lines closer than 0.1° are merged.

Structural model:
a b c (Å): 3.510 3.510 5.543
angles (deg): 90.00 90.00 90.00
Element x y z (fractional)
1 Al 0.250 0.250 0.138
2 Al 0.750 0.750 0.862
3 Ag 0.250 0.250 0.644
4 Ag 0.750 0.750 0.356

Most intense lines, 2θ = 10–90°, sorted by position:
two_theta  Rel. int.
15.99  39.3
30.14  60.7
36.19  78.2
39.79  16.6
41.51  100.0
52.12  26.3
61.39  14.6
68.72  42.1
79.15  14.0
87.98  11.6



Computed XRD peak list of K2Tl5Pd3 for CuKα, from a PBE-relaxed structure.
Lines closer than 0.1° are merged.

Structural model:
a b c (Å): 10.135 10.135 10.135
angles (deg): 119.52 74.72 140.43
Element x y z (fractional)
1 K 0.119 0.243 0.362
2 K 0.381 0.743 0.124
3 K 0.619 0.257 0.876
4 K 0.881 0.757 0.638
5 Tl 0.005 0.750 0.255
6 Tl 0.106 0.865 0.971
7 Tl 0.250 0.750 0.500
8 Tl 0.394 0.365 0.760
9 Tl 0.495 0.750 0.745
10 Tl 0.505 0.250 0.255
11 Tl 0.606 0.635 0.240
12 Tl 0.750 0.250 0.500
13 Tl 0.894 0.135 0.029
14 Tl 0.995 0.250 0.745
15 Pd 0.123 0.599 0.722
16 Pd 0.250 0.250 0.000
17 Pd 0.377 0.099 0.475
18 Pd 0.623 0.901 0.525
19 Pd 0.750 0.750 0.000
20 Pd 0.877 0.401 0.278

Most intense lines, 2θ = 10–90°, sorted by position:
two_theta  Rel. int.
17.37  60.0
19.09  51.2
28.23  55.4
31.40  76.5
34.34  100.0
38.73  33.5
41.91  41.2
44.23  38.4
45.00  29.4
70.11  21.8



Computed XRD peak list of DyGa2Te4 for CuKα, from a PBE-relaxed structure.
Lines closer than 0.1° are merged.

Structural model:
a b c (Å): 8.168 8.168 6.985
angles (deg): 90.00 90.00 90.00
Element x y z (fractional)
1 Dy 0.000 0.000 0.000
2 Dy 0.500 0.500 0.500
3 Ga 0.000 0.500 0.250
4 Ga 0.000 0.500 0.750
5 Ga 0.500 0.000 0.250
6 Ga 0.500 0.000 0.750
7 Te 0.176 0.689 0.500
8 Te 0.189 0.324 0.000
9 Te 0.311 0.176 0.500
10 Te 0.324 0.811 0.000
11 Te 0.676 0.189 0.000
12 Te 0.689 0.824 0.500
13 Te 0.811 0.676 0.000
14 Te 0.824 0.311 0.500

Most intense lines, 2θ = 10–90°, sorted by position:
two_theta  Rel. int.
16.70  22.1
25.50  26.5
27.56  100.0
30.96  33.9
33.77  19.6
43.58  48.9
46.24  24.2
47.72  31.5
61.45  14.7
72.73  20.6



Computed XRD peak list of BH4Se for CuKα, from a PBE-relaxed structure.
Lines closer than 0.1° are merged.

Structural model:
a b c (Å): 4.559 4.891 5.020
angles (deg): 71.76 64.59 63.80
Element x y z (fractional)
1 B 0.000 0.000 0.000
2 H 0.234 0.094 0.899
3 H 0.399 0.658 0.351
4 H 0.593 0.658 0.352
5 H 0.769 0.098 0.903
6 Se 0.996 0.676 0.332

Most intense lines, 2θ = 10–90°, sorted by position:
two_theta  Rel. int.
19.81  95.2
20.48  89.5
23.13  85.2
23.93  78.4
24.84  100.0
26.33  75.4
30.80  35.3
39.56  20.0
44.15  26.7
45.45  24.6